# Pr12Sm6Th
Theoretical X-ray powder pattern, Cu Kα X-rays. Input: the GGA-PBE geometry in Alexandria.
Peak positions follow from Bragg's law for the DFT cell and can differ from measured ones.

Principal peaks in the range 2θ from 5° to 70°, by intensity:
index, 2θ/deg, intensity
0 3 3, 30.73, 100.0
4 0 1, 31.29, 67.6
3 0 6, 47.76, 27.9
1 0 4, 28.34, 26.7
4 3 4, 55.35, 26.0
0 7 2, 56.80, 19.0
0 4 2, 33.52, 18.7
3 4 5, 59.60, 12.9

Cell and atoms:
Cell lengths 13.5316, 13.5316, 13.0766 Å; angles 90.00, 90.00, 120.00 degrees
Space group R-3m (No. 166, hexagonal axes)
Inequivalent atoms, fractional coordinates:
Pr 0.0000 0.2620 0.0000 [18 per cell]
Pr 0.0581 0.5291 0.1127 [18 per cell]
Sm 0.0877 0.1754 0.7724 [18 per cell]
Th 0.0000 0.0000 0.0000 [3 per cell]

***

# Pr12Sm2Th
Theoretical X-ray powder pattern, Cu Kα X-rays. Input: the GGA-PBE geometry in Alexandria.
Peak positions follow from Bragg's law for the DFT cell and can differ from measured ones.

Principal peaks in the range 2θ from 5° to 70°, by intensity:
index, 2θ/deg, intensity
2 0 4, 30.27, 100.0
1 1 7, 30.93, 92.6
2 1 3, 31.86, 80.1
2 0 2, 27.72, 62.4
2 2 0, 38.28, 57.4
2 0 3, 28.81, 56.1
0 0 9, 31.38, 51.7
2 1 6, 36.82, 46.5

Cell and atoms:
Cell lengths 6.650, 6.650, 25.660 Å; angles 90.00, 90.00, 90.00 degrees
Space group P4/nbm (No. 125, origin choice 2)
Inequivalent atoms, fractional coordinates:
Pr 0.060 0.560 0.110 [8 per cell]
Pr 0.082 0.582 0.437 [8 per cell]
Pr 0.250 0.250 0.213 [4 per cell]
Pr 0.250 0.250 0.336 [4 per cell]
Sm 0.250 0.750 0.268 [4 per cell]
Th 0.250 0.750 0.000 [2 per cell]

***

# PrSmTh
Theoretical X-ray powder pattern, Cu Kα X-rays. Input: the GGA-PBE geometry in Alexandria.
Peak positions follow from Bragg's law for the DFT cell and can differ from measured ones.

Principal peaks in the range 2θ from 5° to 70°, by intensity:
index, 2θ/deg, intensity
1 0 1, 30.14, 100.0
0 1 2, 34.88, 70.2
0 0 3, 29.93, 32.6
1 1 3, 59.63, 28.3
1 1 0, 50.29, 24.2
1 0 4, 50.02, 23.3
0 1 5, 59.39, 15.5
0 2 1, 59.75, 14.7

Cell and atoms:
Cell lengths 3.6289, 3.6289, 8.9558 Å; angles 90.00, 90.00, 120.00 degrees
Space group P3m1 (No. 156)
Inequivalent atoms, fractional coordinates:
Pr 0.0000 0.0000 0.0000 [1 per cell]
Sm 0.6667 0.3333 0.3579 [1 per cell]
Th 0.3333 0.6667 0.6754 [1 per cell]

***

# PrSm10Th4
Theoretical X-ray powder pattern, Cu Kα X-rays. Input: the GGA-PBE geometry in Alexandria.
Peak positions follow from Bragg's law for the DFT cell and can differ from measured ones.

Principal peaks in the range 2θ from 5° to 70°, by intensity:
index, 2θ/deg, intensity
1 2 3, 32.04, 100.0
3 0 1, 28.57, 98.9
1 3 0, 28.85, 85.2
3 1 2, 33.30, 75.9
1 0 3, 26.19, 69.9
2 3 1, 34.04, 52.6
4 2 2, 44.63, 43.5
1 1 0, 12.79, 29.9

Cell and atoms:
Cell lengths 9.786, 9.786, 10.889 Å; angles 90.00, 90.00, 90.00 degrees
Space group I4/m (No. 87)
Inequivalent atoms, fractional coordinates:
Pr 0.000 0.000 0.000 [2 per cell]
Sm 0.000 0.500 0.250 [4 per cell]
Sm 0.118 0.789 0.344 [16 per cell]
Th 0.060 0.664 0.000 [8 per cell]